For U3S3O16, a GGA-PBE-relaxed structure gives the calculated powder XRD pattern in this record (Cu Kα (λ = 1.5418 Å)).
Neutral-atom scattering factors, no anomalous dispersion.

Structure:
Cell lengths 9.1183, 9.1183, 9.1183 Å; angles 108.56, 108.56, 111.31 degrees
Fractional coordinates of all 44 atoms:
U: 0.2489 0.2489 0.0000
U: 0.2569 0.4648 0.7218
U: 0.4648 0.7431 0.2079
U: 0.5352 0.2569 0.7921
U: 0.7431 0.5352 0.2782
U: 0.7511 0.7511 0.0000
S: 0.1249 0.7796 0.9045
S: 0.2204 0.1249 0.3453
S: 0.2500 0.7500 0.5000
S: 0.7500 0.2500 0.5000
S: 0.7796 0.8751 0.6547
S: 0.8751 0.2204 0.0955
O: 0.0528 0.9438 0.2331
O: 0.0562 0.2893 0.1090
O: 0.0645 0.7191 0.4453
O: 0.1154 0.6417 0.7571
O: 0.1803 0.9472 0.8910
O: 0.1810 0.2585 0.4395
O: 0.2370 0.4747 0.9623
O: 0.2585 0.8190 0.0775
O: 0.2738 0.6192 0.5547
O: 0.2747 0.2370 0.7623
O: 0.2809 0.7262 0.3454
O: 0.2893 0.1803 0.2331
O: 0.3583 0.1154 0.4737
O: 0.3808 0.9355 0.6546
O: 0.4747 0.5124 0.2377
O: 0.4876 0.7253 0.9623
O: 0.5124 0.2747 0.0377
O: 0.5253 0.4876 0.7623
O: 0.6192 0.0645 0.3454
O: 0.6417 0.8846 0.5263
O: 0.7107 0.8197 0.7669
O: 0.7191 0.2738 0.6546
O: 0.7253 0.7630 0.2377
O: 0.7262 0.3808 0.4453
O: 0.7415 0.1810 0.9225
O: 0.7630 0.5253 0.0377
O: 0.8190 0.7415 0.5605
O: 0.8197 0.0528 0.1090
O: 0.8846 0.3583 0.2429
O: 0.9355 0.2809 0.5547
O: 0.9438 0.7107 0.8910
O: 0.9472 0.0562 0.7669

Peak list (12 most intense, 15 to 90 degrees two-theta, by angle)
2θ/deg  I/Imax
16.65  23
20.55  38
24.06  51
26.51  35
29.40  100
31.52  20
31.76  36
33.67  21
40.30  20
43.37  21
49.26  26
59.23  21

***

For U2S2O19, a GGA-PBE-relaxed structure gives the calculated powder XRD pattern in this record (Cu Kα (λ = 1.5418 Å)).
Neutral-atom scattering factors, no anomalous dispersion.

Structure:
Cell lengths 8.9338, 8.9338, 11.8150 Å; angles 105.94, 105.94, 71.76 degrees
Fractional coordinates of all 46 atoms:
U: 0.1367 0.1886 0.2171
U: 0.1886 0.1367 0.7171
U: 0.8114 0.8633 0.2829
U: 0.8633 0.8114 0.7829
S: 0.0862 0.7526 0.5590
S: 0.2474 0.9138 0.9410
S: 0.7526 0.0862 0.0590
S: 0.9138 0.2474 0.4410
O: 0.0273 0.2319 0.7950
O: 0.0333 0.6945 0.6470
O: 0.0451 0.2493 0.5526
O: 0.0669 0.3706 0.1601
O: 0.0721 0.9159 0.8889
O: 0.0841 0.9279 0.6111
O: 0.2319 0.0273 0.2950
O: 0.2416 0.6563 0.5370
O: 0.2493 0.0451 0.0526
O: 0.2941 0.4244 0.8046
O: 0.3055 0.9667 0.8530
O: 0.3114 0.4013 0.9061
O: 0.3258 0.5826 0.1540
O: 0.3437 0.7584 0.9630
O: 0.3706 0.0669 0.6601
O: 0.4013 0.3114 0.4061
O: 0.4174 0.6742 0.3460
O: 0.4244 0.2941 0.3046
O: 0.4344 0.5656 0.2500
O: 0.5656 0.4344 0.7500
O: 0.5756 0.7059 0.6954
O: 0.5826 0.3258 0.6540
O: 0.5987 0.6886 0.5939
O: 0.6294 0.9331 0.3399
O: 0.6563 0.2416 0.0370
O: 0.6742 0.4174 0.8460
O: 0.6886 0.5987 0.0939
O: 0.6945 0.0333 0.1470
O: 0.7059 0.5756 0.1954
O: 0.7507 0.9549 0.9474
O: 0.7584 0.3437 0.4630
O: 0.7681 0.9727 0.7050
O: 0.9159 0.0721 0.3889
O: 0.9279 0.0841 0.1111
O: 0.9331 0.6294 0.8399
O: 0.9549 0.7507 0.4474
O: 0.9667 0.3055 0.3530
O: 0.9727 0.7681 0.2050

Peak list (12 most intense, 15 to 90 degrees two-theta, by angle)
2θ/deg  I/Imax
15.95  68
16.83  51
16.93  74
18.73  24
20.99  38
21.33  100
22.34  62
23.34  75
23.96  47
30.56  40
33.04  28
34.96  25